(1)
# MgMo3
Calculated powder X-ray diffraction pattern, Cu Kα (λ = 1.5418 Å). Input: a structure optimized by DFT (GGA-PBE).

```
8
Lattice="5.043 0.000 0.000 0.000 5.043 0.000 0.000 0.000 5.043" Properties=species:S:1:pos:R:3 pbc="T T T"
Mg 0.000 0.000 0.000
Mg 2.522 2.522 2.522
Mo 0.000 1.261 2.522
Mo 0.000 3.783 2.522
Mo 1.261 2.522 0.000
Mo 2.522 0.000 1.261
Mo 2.522 0.000 3.783
Mo 3.783 2.522 0.000
```

Peak list (12 most intense, 2θ from 10° to 90°, sorted by position)
- 24.97 deg, I 24, hkl 1 1 0
- 35.60 deg, I 14, hkl 2 0 0
- 39.97 deg, I 100, hkl 2 1 0
- 43.98 deg, I 30, hkl 2 1 1
- 51.23 deg, I 3, hkl 2 2 0
- 57.81 deg, I 4, hkl 3 1 0
- 63.95 deg, I 15, hkl 2 2 2
- 66.89 deg, I 21, hkl 3 2 0
- 69.77 deg, I 15, hkl 3 2 1
- 75.39 deg, I 10, hkl 4 0 0
- 86.25 deg, I 4, hkl 4 2 0
- 88.93 deg, I 21, hkl 4 2 1



(2)
# La3TeO
Calculated powder X-ray diffraction pattern, Cu Kα (λ = 1.5418 Å). Input: a structure optimized by DFT (GGA-PBE).

```
5
Lattice="5.024 0.000 0.000 0.000 5.024 0.000 0.000 0.000 5.024" Properties=species:S:1:pos:R:3 pbc="T T T"
La 0.000 0.000 2.512
La 0.000 2.512 0.000
La 2.512 0.000 0.000
Te 2.512 2.512 2.512
O 0.000 0.000 0.000
```

Peak list (9 most intense, 2θ from 10° to 90°, sorted by position)
- 17.65 deg, I 1, hkl 1 0 0
- 30.82 deg, I 100, hkl 1 1 1
- 35.74 deg, I 57, hkl 2 0 0
- 51.44 deg, I 40, hkl 2 2 0
- 61.18 deg, I 43, hkl 3 1 1
- 64.22 deg, I 14, hkl 2 2 2
- 75.72 deg, I 6, hkl 4 0 0
- 83.95 deg, I 18, hkl 3 3 1
- 86.66 deg, I 18, hkl 4 2 0



(3)
# SmDyCd
Calculated powder X-ray diffraction pattern, Cu Kα (λ = 1.5418 Å). Input: a structure optimized by DFT (GGA-PBE).

```
3
Lattice="5.283 0.000 0.000 -2.641 4.575 0.000 0.000 0.000 3.607" Properties=species:S:1:pos:R:3 pbc="T T T"
Sm 0.000 0.000 0.000
Dy 2.641 1.525 1.586
Cd 0.000 3.050 2.462
```

Peak list (12 most intense, 2θ from 10° to 90°, sorted by position)
- 31.59 deg, I 100, hkl 1 0 1
- 33.94 deg, I 83, hkl 1 1 0
- 47.04 deg, I 33, hkl 0 2 1
- 54.71 deg, I 17, hkl 0 1 2
- 59.26 deg, I 33, hkl 2 1 1
- 60.73 deg, I 15, hkl 3 0 0
- 62.35 deg, I 6, hkl 1 1 2
- 65.96 deg, I 10, hkl 2 0 2
- 71.43 deg, I 9, hkl 2 2 0
- 76.30 deg, I 13, hkl 1 2 2
- 80.19 deg, I 14, hkl 1 3 1
- 89.59 deg, I 4, hkl 1 1 3



Q: Number 1 is which compound?
A: MgMo3